Entry 1:
Calculated powder X-ray diffraction pattern of Gd3AlCdS7 for λ = 1.5418 Å (Cu Kα), from a DFT-relaxed cell (PBE, OQMD).
Kinematic intensities with the Lorentz-polarization factor, no thermal factor.

Structure:
a = 9.7793 Å, b = 9.7793 Å, c = 6.2465 Å
α = 90.00°, β = 90.00°, γ = 120.00°
Space group P6_3 (No. 173)
Inequivalent atoms, fractional coordinates:
Gd  0.1531  0.3811  0.0000 x6
Al  0.3333  0.6667  0.4228 x2
Cd  0.0000  0.0000  0.3090 x2
S  0.0942  0.5726  0.2661 x6
S  0.1114  0.2594  0.5785 x6
S  0.3333  0.6667  0.7852 x2

Principal peaks in the range 10 to 80 degrees two-theta, by angle:
Position (°2θ), Rel. int., hkl
10.45, 33.1, 1 0 0
17.64, 55.5, 1 0 1
25.41, 100.0, 2 0 1
27.87, 66.4, 1 2 0
34.06, 38.3, 1 1 2
34.88, 45.4, 3 0 1
35.72, 63.9, 2 0 2
36.76, 53.2, 2 2 0
40.35, 35.4, 1 2 2
51.57, 29.0, 1 4 1


Entry 2:
Calculated powder X-ray diffraction pattern of Gd2TmAl2Zn3Cd for λ = 1.5418 Å (Cu Kα), from a DFT-relaxed cell (PBE, OQMD).
Kinematic intensities with the Lorentz-polarization factor, no thermal factor.

Structure:
a = 4.470 Å, b = 12.113 Å, c = 7.066 Å
α = 90.00°, β = 90.00°, γ = 90.00°
Space group Amm2 (No. 38)
Inequivalent atoms, fractional coordinates:
Gd  0.000  0.215  0.000 x4
Tm  0.000  0.000  0.352 x2
Al  0.500  0.165  0.284 x4
Zn  0.500  0.000  0.033 x2
Zn  0.500  0.124  0.658 x4
Cd  0.000  0.000  0.778 x2

Principal peaks in the range 10 to 80 degrees two-theta, by angle:
Position (°2θ), Rel. int., hkl
19.86, 33.3, 1 0 0
29.26, 36.6, 0 2 2
29.50, 17.6, 0 4 0
32.30, 29.9, 1 0 2
32.46, 64.7, 1 3 1
35.62, 100.0, 1 2 2
35.82, 49.7, 1 4 0
38.95, 16.9, 0 1 3
40.35, 39.5, 2 0 0
70.30, 21.5, 3 2 2


Entry 3:
Calculated powder X-ray diffraction pattern of GdY2Al2Cd4 for λ = 1.5418 Å (Cu Kα), from a DFT-relaxed cell (PBE, OQMD).
Kinematic intensities with the Lorentz-polarization factor, no thermal factor.

Structure:
a = 4.545 Å, b = 12.730 Å, c = 7.332 Å
α = 90.00°, β = 90.00°, γ = 90.00°
Space group Amm2 (No. 38)
Inequivalent atoms, fractional coordinates:
Gd  0.000  0.000  0.000 x2
Y  0.000  0.214  0.358 x4
Al  0.500  0.167  0.072 x4
Cd  0.000  0.000  0.570 x2
Cd  0.500  0.000  0.319 x2
Cd  0.500  0.126  0.698 x4

Principal peaks in the range 10 to 80 degrees two-theta, by angle:
Position (°2θ), Rel. int., hkl
13.92, 25.4, 0 2 0
28.07, 17.2, 0 4 0
31.33, 88.6, 1 0 2
34.43, 100.0, 1 4 0
37.43, 45.6, 0 1 3
39.66, 31.1, 2 0 0
42.57, 26.1, 0 6 0
55.67, 28.0, 2 1 3
67.39, 15.4, 1 8 2
68.62, 12.8, 3 4 0


Entry 4:
Calculated powder X-ray diffraction pattern of Gd2YAl2Cd4 for λ = 1.5418 Å (Cu Kα), from a DFT-relaxed cell (PBE, OQMD).
Kinematic intensities with the Lorentz-polarization factor, no thermal factor.

Structure:
a = 4.547 Å, b = 12.726 Å, c = 7.370 Å
α = 90.00°, β = 90.00°, γ = 90.00°
Space group Amm2 (No. 38)
Inequivalent atoms, fractional coordinates:
Gd  0.000  0.214  0.000 x4
Y  0.000  0.000  0.358 x2
Al  0.500  0.166  0.286 x4
Cd  0.000  0.000  0.784 x2
Cd  0.500  0.000  0.038 x2
Cd  0.500  0.126  0.659 x4

Principal peaks in the range 10 to 80 degrees two-theta, by angle:
Position (°2θ), Rel. int., hkl
13.89, 16.8, 0 1 1
28.00, 20.7, 0 2 2
31.27, 87.9, 1 3 1
34.37, 100.0, 1 2 2
37.34, 44.7, 0 5 1
39.64, 30.3, 2 0 0
42.47, 14.4, 1 5 1
55.59, 27.5, 2 5 1
67.31, 17.9, 1 7 3
68.56, 12.9, 3 2 2


Entry 5:
Calculated powder X-ray diffraction pattern of AlCdH6Ir for λ = 1.5418 Å (Cu Kα), from a DFT-relaxed cell (PBE, OQMD).
Kinematic intensities with the Lorentz-polarization factor, no thermal factor.

Structure:
a = 6.589 Å, b = 6.589 Å, c = 6.589 Å
α = 90.00°, β = 90.00°, γ = 90.00°
Space group F-43m (No. 216)
Inequivalent atoms, fractional coordinates:
Al  0.000  0.000  0.000 x4
Cd  0.250  0.250  0.750 x4
H  0.000  0.000  0.266 x24
Ir  0.250  0.250  0.250 x4

Principal peaks in the range 10 to 80 degrees two-theta, by angle:
Position (°2θ), Rel. int., hkl
23.38, 13.5, 1 1 1
27.07, 88.4, 2 0 0
38.65, 100.0, 2 2 0
45.67, 7.6, 3 1 1
47.82, 27.0, 2 2 2
55.81, 17.8, 4 0 0
61.33, 3.4, 3 3 1
63.10, 33.2, 4 2 0
69.95, 34.7, 4 2 2
74.89, 2.6, 3 3 3


Entry 6:
Calculated powder X-ray diffraction pattern of AlCdMoH6 for λ = 1.5418 Å (Cu Kα), from a DFT-relaxed cell (PBE, OQMD).
Kinematic intensities with the Lorentz-polarization factor, no thermal factor.

Structure:
a = 6.553 Å, b = 6.553 Å, c = 6.553 Å
α = 90.00°, β = 90.00°, γ = 90.00°
Space group F-43m (No. 216)
Inequivalent atoms, fractional coordinates:
Al  0.000  0.000  0.000 x4
Cd  0.250  0.250  0.250 x4
Mo  0.250  0.250  0.750 x4
H  0.000  0.000  0.266 x24

Principal peaks in the range 10 to 80 degrees two-theta, by angle:
Position (°2θ), Rel. int., hkl
23.52, 4.4, 1 1 1
27.22, 77.1, 2 0 0
38.87, 100.0, 2 2 0
45.93, 2.2, 3 1 1
48.10, 23.2, 2 2 2
56.15, 17.5, 4 0 0
61.70, 0.9, 3 3 1
63.49, 26.9, 4 2 0
70.39, 33.2, 4 2 2
75.37, 0.6, 3 3 3


Entry 7:
Calculated powder X-ray diffraction pattern of AlCdH6Os for λ = 1.5418 Å (Cu Kα), from a DFT-relaxed cell (PBE, OQMD).
Kinematic intensities with the Lorentz-polarization factor, no thermal factor.

Structure:
a = 6.481 Å, b = 6.481 Å, c = 6.481 Å
α = 90.00°, β = 90.00°, γ = 90.00°
Space group F-43m (No. 216)
Inequivalent atoms, fractional coordinates:
Al  0.000  0.000  0.000 x4
Cd  0.250  0.250  0.750 x4
H  0.064  0.250  0.250 x24
Os  0.000  0.000  0.500 x4

Principal peaks in the range 10 to 80 degrees two-theta, by angle:
Position (°2θ), Rel. int., hkl
23.78, 85.7, 1 1 1
27.53, 10.4, 2 0 0
39.32, 100.0, 2 2 0
46.47, 45.0, 3 1 1
48.67, 3.7, 2 2 2
56.83, 17.3, 4 0 0
62.47, 18.7, 3 3 1
64.28, 4.7, 4 2 0
71.29, 34.1, 4 2 2
76.36, 13.8, 3 3 3


Entry 8:
Calculated powder X-ray diffraction pattern of AlCdH6Pb for λ = 1.5418 Å (Cu Kα), from a DFT-relaxed cell (PBE, OQMD).
Kinematic intensities with the Lorentz-polarization factor, no thermal factor.

Structure:
a = 7.318 Å, b = 7.318 Å, c = 7.318 Å
α = 90.00°, β = 90.00°, γ = 90.00°
Space group F-43m (No. 216)
Inequivalent atoms, fractional coordinates:
Al  0.000  0.000  0.000 x4
Cd  0.250  0.250  0.250 x4
H  0.000  0.000  0.240 x24
Pb  0.250  0.250  0.750 x4

Principal peaks in the range 10 to 80 degrees two-theta, by angle:
Position (°2θ), Rel. int., hkl
21.03, 16.3, 1 1 1
24.33, 85.9, 2 0 0
34.67, 100.0, 2 2 0
40.90, 9.8, 3 1 1
42.81, 28.4, 2 2 2
49.85, 18.8, 4 0 0
56.22, 35.9, 4 2 0
62.14, 37.1, 4 2 2
73.16, 11.9, 4 4 0
78.41, 17.4, 6 0 0


What did the third record say?
Calculated powder X-ray diffraction pattern of GdY2Al2Cd4 for λ = 1.5418 Å (Cu Kα), from a DFT-relaxed cell (PBE, OQMD).
Kinematic intensities with the Lorentz-polarization factor, no thermal factor.

Structure:
a = 4.545 Å, b = 12.730 Å, c = 7.332 Å
α = 90.00°, β = 90.00°, γ = 90.00°
Space group Amm2 (No. 38)
Inequivalent atoms, fractional coordinates:
Gd  0.000  0.000  0.000 x2
Y  0.000  0.214  0.358 x4
Al  0.500  0.167  0.072 x4
Cd  0.000  0.000  0.570 x2
Cd  0.500  0.000  0.319 x2
Cd  0.500  0.126  0.698 x4

Principal peaks in the range 10 to 80 degrees two-theta, by angle:
Position (°2θ), Rel. int., hkl
13.92, 25.4, 0 2 0
28.07, 17.2, 0 4 0
31.33, 88.6, 1 0 2
34.43, 100.0, 1 4 0
37.43, 45.6, 0 1 3
39.66, 31.1, 2 0 0
42.57, 26.1, 0 6 0
55.67, 28.0, 2 1 3
67.39, 15.4, 1 8 2
68.62, 12.8, 3 4 0